(1)
The following is a simulated X-ray diffraction stick pattern of ZrI2. It was derived from a cell relaxed with PBE, using Cu Ka.

Crystal structure
a = 14.9332 Å, b = 14.9332 Å, c = 10.4411 Å
α = 90.00°, β = 90.00°, γ = 120.00°
Space group R-3 (No. 148, hexagonal axes)
One atom of each set of equivalent atoms:
Zr1 0.0393 0.9006 0.3713 x18
I1 0.0307 0.4418 0.1645 x18
I2 0.0502 0.8756 0.8167 x18

Top 8 peaks for 2θ from 5° to 70°, by intensity:
- (4 -1 2), 2θ 30.23, I = 100
- (1 3 1), 2θ 26.27, I = 49
- (5 2 0), 2θ 43.71, I = 32
- (1 3 4), 2θ 42.85, I = 30
- (1 0 1), 2θ 10.89, I = 21
- (7 -5 3), 2θ 51.34, I = 20
- (0 0 3), 2θ 25.59, I = 16
- (2 6 2), 2θ 54.07, I = 13

(2)
The following is a simulated X-ray diffraction stick pattern of Cs2InAuI6. It was derived from a cell relaxed with PBE, using Cu Ka.

Crystal structure
a = 11.985 Å, b = 11.985 Å, c = 11.985 Å
α = 90.00°, β = 90.00°, γ = 90.00°
Space group Fm-3m (No. 225)
One atom of each set of equivalent atoms:
Cs1 0.250 0.250 0.250 x8
In1 0.000 0.000 0.000 x4
Au1 0.000 0.000 0.500 x4
I1 0.000 0.000 0.252 x24

Top 8 peaks for 2θ from 5° to 70°, by intensity:
- (4 0 0), 2θ 29.82, I = 100
- (4 4 0), 2θ 42.68, I = 74
- (2 2 2), 2θ 25.75, I = 54
- (2 2 0), 2θ 20.96, I = 28
- (2 0 0), 2θ 14.78, I = 28
- (4 4 4), 2θ 52.93, I = 26
- (6 2 2), 2θ 50.51, I = 24
- (4 2 0), 2θ 33.44, I = 16

(3)
The following is a simulated X-ray diffraction stick pattern of VAgP2Se6. It was derived from a cell relaxed with PBE, using Cu Ka.

Crystal structure
a = 6.383 Å, b = 11.187 Å, c = 7.675 Å
α = 90.00°, β = 105.33°, γ = 90.00°
Space group C2 (No. 5)
One atom of each set of equivalent atoms:
V1 0.000 0.000 0.000 x2
Ag1 0.000 0.650 0.000 x2
P1 0.044 0.325 0.150 x4
Se1 0.205 0.149 0.236 x4
Se2 0.226 0.979 0.768 x4
Se3 0.234 0.846 0.227 x4

Top 8 peaks for 2θ from 5° to 70°, by intensity:
- (1 3 1), 2θ 32.04, I = 100
- (0 0 1), 2θ 11.96, I = 87
- (2 0 -2), 2θ 32.56, I = 52
- (3 3 -1), 2θ 49.29, I = 37
- (1 3 -3), 2θ 43.18, I = 35
- (1 3 -1), 2θ 28.95, I = 34
- (0 0 2), 2θ 24.05, I = 27
- (2 0 2), 2θ 42.90, I = 15

(4)
The following is a simulated X-ray diffraction stick pattern of NbS2Br2. It was derived from a cell relaxed with PBE, using Cu Ka.

Crystal structure
a = 6.724 Å, b = 11.483 Å, c = 7.187 Å
α = 90.00°, β = 109.54°, γ = 90.00°
Space group C2/m (No. 12)
One atom of each set of equivalent atoms:
Nb1 0.000 0.126 0.000 x4
S1 0.135 0.000 0.302 x4
S2 0.181 0.500 0.869 x4
Br1 0.230 0.204 0.772 x8

Top 8 peaks for 2θ from 5° to 70°, by intensity:
- (0 0 1), 2θ 13.07, I = 100
- (1 3 1), 2θ 32.33, I = 99
- (1 1 0), 2θ 15.97, I = 50
- (1 5 -1), 2θ 42.48, I = 43
- (2 0 -2), 2θ 31.56, I = 27
- (2 2 -2), 2θ 35.31, I = 26
- (2 0 2), 2θ 45.26, I = 23
- (0 4 2), 2θ 41.22, I = 23

(5)
The following is a simulated X-ray diffraction stick pattern of RbHF2. It was derived from a cell relaxed with PBE, using Cu Ka.

Crystal structure
a = 7.391 Å, b = 5.909 Å, c = 5.997 Å
α = 90.00°, β = 90.00°, γ = 90.00°
Space group Ima2 (No. 46)
One atom of each set of equivalent atoms:
Rb1 0.000 0.000 0.000 x4
H1 0.250 0.004 0.491 x4
F1 0.250 0.148 0.360 x4
F2 0.250 0.640 0.119 x4

Top 8 peaks for 2θ from 5° to 70°, by intensity:
- (2 1 1), 2θ 32.23, I = 100
- (0 1 1), 2θ 21.11, I = 59
- (2 2 0), 2θ 39.03, I = 23
- (2 0 2), 2θ 38.67, I = 21
- (0 0 2), 2θ 29.80, I = 21
- (2 2 2), 2θ 49.86, I = 18
- (0 2 0), 2θ 30.25, I = 17
- (0 3 1), 2θ 48.66, I = 16

(6)
The following is a simulated X-ray diffraction stick pattern of Ru3Cl. It was derived from a cell relaxed with PBE, using Cu Ka.

Crystal structure
a = 4.193 Å, b = 4.193 Å, c = 6.660 Å
α = 90.00°, β = 90.00°, γ = 90.00°
Space group I4/mmm (No. 139)
One atom of each set of equivalent atoms:
Ru1 0.000 0.000 0.000 x2
Ru2 0.000 0.500 0.250 x4
Cl1 0.000 0.000 0.500 x2

Top 8 peaks for 2θ from 5° to 70°, by intensity:
- (1 1 2), 2θ 40.75, I = 100
- (2 0 0), 2θ 43.15, I = 42
- (1 0 1), 2θ 25.09, I = 14
- (2 2 0), 2θ 62.66, I = 13
- (0 0 4), 2θ 55.16, I = 10
- (2 1 1), 2θ 50.56, I = 4
- (1 1 0), 2θ 30.14, I = 4
- (0 0 2), 2θ 26.77, I = 3